(1)
Simulated XRD peak list of MgB14Mo for λ = 1.5418 Å (Cu Kα), from a DFT-relaxed cell (PBE, Alexandria).

Crystal structure
```
data_MgB14Mo
_symmetry_space_group_name_H-M 'P 1'
_symmetry_Int_Tables_number 1
_cell_length_a 7.305
_cell_length_b 7.305
_cell_length_c 7.305
_cell_angle_alpha 132.23
_cell_angle_beta 86.92
_cell_angle_gamma 112.44
loop_
_symmetry_equiv_pos_as_xyz
'x,y,z'
loop_
_atom_site_label
_atom_site_type_symbol
_atom_site_fract_x
_atom_site_fract_y
_atom_site_fract_z
Mg1 Mg 0.389 0.139 0.250
Mg2 Mg 0.611 0.861 0.750
B1 B 0.010 0.883 0.127
B2 B 0.034 0.211 0.335
B3 B 0.034 0.699 0.824
B4 B 0.094 0.674 0.419
B5 B 0.196 0.528 0.669
B6 B 0.233 0.509 0.411
B7 B 0.233 0.822 0.725
B8 B 0.245 0.326 0.919
B9 B 0.257 0.883 0.373
B10 B 0.359 0.528 0.831
B11 B 0.376 0.211 0.676
B12 B 0.376 0.699 0.165
B13 B 0.403 0.178 0.911
B14 B 0.403 0.491 0.225
B15 B 0.597 0.509 0.775
B16 B 0.597 0.822 0.089
B17 B 0.624 0.301 0.835
B18 B 0.624 0.789 0.324
B19 B 0.641 0.472 0.169
B20 B 0.743 0.117 0.627
B21 B 0.755 0.674 0.081
B22 B 0.767 0.178 0.275
B23 B 0.767 0.491 0.589
B24 B 0.804 0.472 0.331
B25 B 0.906 0.326 0.581
B26 B 0.966 0.301 0.176
B27 B 0.966 0.789 0.665
B28 B 0.990 0.117 0.873
Mo1 Mo 0.000 0.000 0.500
Mo2 Mo 0.000 0.500 0.000
```

Principal peaks in the range 2θ = 10–90°, by angle:
2θ/deg, d [Å], I/Imax
13.73, 6.449, 100
16.72, 5.303, 25
21.88, 4.062, 15
27.52, 3.241, 15
27.66, 3.225, 23
33.32, 2.689, 36
34.17, 2.624, 15
41.32, 2.185, 34
41.42, 2.180, 23
42.03, 2.150, 16

(2)
Simulated XRD peak list of LaCe2I6 for λ = 1.5418 Å (Cu Kα), from a DFT-relaxed cell (PBE, Alexandria).

Crystal structure
```
data_LaCe2I6
_symmetry_space_group_name_H-M 'P 1'
_symmetry_Int_Tables_number 1
_cell_length_a 8.753
_cell_length_b 8.753
_cell_length_c 8.753
_cell_angle_alpha 53.44
_cell_angle_beta 53.44
_cell_angle_gamma 53.44
loop_
_symmetry_equiv_pos_as_xyz
'x,y,z'
loop_
_atom_site_label
_atom_site_type_symbol
_atom_site_fract_x
_atom_site_fract_y
_atom_site_fract_z
La1 La 0.000 0.000 0.000
Ce1 Ce 0.166 0.166 0.166
Ce2 Ce 0.332 0.332 0.332
I1 I 0.081 0.420 0.749
I2 I 0.254 0.912 0.580
I3 I 0.420 0.749 0.081
I4 I 0.580 0.254 0.912
I5 I 0.749 0.081 0.420
I6 I 0.912 0.580 0.254
```

Principal peaks in the range 2θ = 10–90°, by angle:
2θ/deg, d [Å], I/Imax
13.58, 6.522, 36
23.75, 3.746, 16
25.58, 3.483, 100
33.04, 2.711, 76
39.67, 2.272, 47
42.94, 2.106, 24
47.80, 1.903, 18
52.55, 1.742, 22
64.54, 1.444, 22
67.80, 1.382, 18

(3)
Simulated XRD peak list of CsKPbF4 for λ = 1.5418 Å (Cu Kα), from a DFT-relaxed cell (PBE, Alexandria).

Crystal structure
```
data_CsKPbF4
_symmetry_space_group_name_H-M 'P 1'
_symmetry_Int_Tables_number 1
_cell_length_a 8.104
_cell_length_b 8.104
_cell_length_c 8.104
_cell_angle_alpha 145.76
_cell_angle_beta 145.76
_cell_angle_gamma 49.20
loop_
_symmetry_equiv_pos_as_xyz
'x,y,z'
loop_
_atom_site_label
_atom_site_type_symbol
_atom_site_fract_x
_atom_site_fract_y
_atom_site_fract_z
Cs1 Cs 0.000 0.000 0.000
K1 K 0.702 0.702 0.000
Pb1 Pb 0.342 0.342 0.000
F1 F 0.186 0.186 0.000
F2 F 0.319 0.819 0.500
F3 F 0.524 0.524 0.000
F4 F 0.819 0.319 0.500
```

Principal peaks in the range 2θ = 10–90°, by angle:
2θ/deg, d [Å], I/Imax
12.01, 7.369, 39
19.56, 4.539, 38
26.03, 3.423, 100
26.42, 3.374, 63
35.81, 2.508, 21
36.58, 2.456, 16
37.71, 2.386, 36
45.69, 1.986, 26
46.40, 1.957, 43
53.55, 1.711, 21

(4)
Simulated XRD peak list of SmMg2Al3Au6 for λ = 1.5418 Å (Cu Kα), from a DFT-relaxed cell (PBE, Alexandria).

Crystal structure
```
data_SmMg2Al3Au6
_symmetry_space_group_name_H-M 'P 1'
_symmetry_Int_Tables_number 1
_cell_length_a 4.226
_cell_length_b 4.226
_cell_length_c 14.248
_cell_angle_alpha 90.00
_cell_angle_beta 90.00
_cell_angle_gamma 90.00
loop_
_symmetry_equiv_pos_as_xyz
'x,y,z'
loop_
_atom_site_label
_atom_site_type_symbol
_atom_site_fract_x
_atom_site_fract_y
_atom_site_fract_z
Sm1 Sm 0.000 0.000 0.000
Mg1 Mg 0.000 0.000 0.341
Mg2 Mg 0.000 0.000 0.659
Al1 Al 0.500 0.500 0.089
Al2 Al 0.500 0.500 0.500
Al3 Al 0.500 0.500 0.911
Au1 Au 0.000 0.500 0.189
Au2 Au 0.000 0.500 0.811
Au3 Au 0.500 0.000 0.189
Au4 Au 0.500 0.000 0.811
Au5 Au 0.500 0.500 0.333
Au6 Au 0.500 0.500 0.667
```

Principal peaks in the range 2θ = 10–90°, by angle:
2θ/deg, d [Å], I/Imax
12.42, 7.124, 59
21.94, 4.052, 18
32.49, 2.756, 23
35.49, 2.529, 100
37.89, 2.375, 15
42.79, 2.113, 39
43.90, 2.062, 27
58.46, 1.579, 18
62.12, 1.494, 13
73.63, 1.286, 28

(5)
Simulated XRD peak list of KNb3CuO9 for λ = 1.5418 Å (Cu Kα), from a DFT-relaxed cell (PBE, Alexandria).

Crystal structure
```
data_KNb3CuO9
_symmetry_space_group_name_H-M 'P 1'
_symmetry_Int_Tables_number 1
_cell_length_a 8.960
_cell_length_b 10.263
_cell_length_c 7.866
_cell_angle_alpha 90.00
_cell_angle_beta 90.00
_cell_angle_gamma 90.00
loop_
_symmetry_equiv_pos_as_xyz
'x,y,z'
loop_
_atom_site_label
_atom_site_type_symbol
_atom_site_fract_x
_atom_site_fract_y
_atom_site_fract_z
K1 K 0.085 0.239 0.000
K2 K 0.085 0.261 0.500
K3 K 0.915 0.739 0.500
K4 K 0.915 0.761 0.000
Nb1 Nb 0.196 0.563 0.764
Nb2 Nb 0.196 0.937 0.264
Nb3 Nb 0.206 0.561 0.254
Nb4 Nb 0.206 0.939 0.754
Nb5 Nb 0.430 0.247 0.754
Nb6 Nb 0.430 0.253 0.254
Nb7 Nb 0.570 0.747 0.254
Nb8 Nb 0.570 0.753 0.754
Nb9 Nb 0.794 0.061 0.754
Nb10 Nb 0.794 0.439 0.254
Nb11 Nb 0.804 0.063 0.264
Nb12 Nb 0.804 0.437 0.764
Cu1 Cu 0.500 0.000 0.490
Cu2 Cu 0.500 0.000 0.997
Cu3 Cu 0.500 0.500 0.497
Cu4 Cu 0.500 0.500 0.990
O1 O 0.000 0.000 0.179
O2 O 0.000 0.000 0.802
O3 O 0.000 0.500 0.302
O4 O 0.000 0.500 0.679
O5 O 0.146 0.559 0.991
O6 O 0.146 0.941 0.491
O7 O 0.149 0.749 0.239
O8 O 0.149 0.751 0.739
O9 O 0.274 0.119 0.699
O10 O 0.274 0.123 0.275
O11 O 0.274 0.377 0.775
O12 O 0.274 0.381 0.199
O13 O 0.278 0.552 0.486
O14 O 0.278 0.948 0.986
O15 O 0.416 0.613 0.808
O16 O 0.416 0.887 0.308
O17 O 0.417 0.615 0.167
O18 O 0.417 0.885 0.667
O19 O 0.441 0.184 0.989
O20 O 0.441 0.316 0.489
O21 O 0.559 0.684 0.489
O22 O 0.559 0.816 0.989
O23 O 0.583 0.115 0.667
O24 O 0.583 0.385 0.167
O25 O 0.584 0.113 0.308
O26 O 0.584 0.387 0.808
O27 O 0.722 0.052 0.986
O28 O 0.722 0.448 0.486
O29 O 0.726 0.619 0.199
O30 O 0.726 0.623 0.775
O31 O 0.726 0.877 0.275
O32 O 0.726 0.881 0.699
O33 O 0.851 0.249 0.739
O34 O 0.851 0.251 0.239
O35 O 0.854 0.059 0.491
O36 O 0.854 0.441 0.991
```

Principal peaks in the range 2θ = 10–90°, by angle:
2θ/deg, d [Å], I/Imax
21.64, 4.106, 25
22.61, 3.933, 50
27.92, 3.196, 73
29.92, 2.987, 34
30.24, 2.956, 38
30.32, 2.948, 100
31.50, 2.840, 42
35.04, 2.561, 48
46.16, 1.966, 34
54.22, 1.692, 51